Starting from a GGA-PBE-relaxed structure, the powder XRD pattern of Nb3TcW was calculated for Cu Kα.
Peak positions follow from Bragg's law for the DFT cell and can differ from measured ones.

The 10 most intense peaks (5° ≤ 2θ ≤ 70°), low angle first:
- 10.87°, intensity 2
- 20.16°, intensity 1
- 21.84°, intensity 2
- 22.35°, intensity 3
- 25.47°, intensity 2
- 28.17°, intensity 3
- 39.32°, intensity 100
- 39.52°, intensity 20
- 56.55°, intensity 7
- 57.03°, intensity 13

Atomic structure:
Cell lengths 8.453, 8.453, 4.561 Å; angles 90.00, 90.00, 148.60 degrees
Sites, in units of the cell vectors:
Nb (0.054, 0.946, 0.500)
Nb (0.250, 0.750, 0.500)
Nb (0.446, 0.554, 0.504)
Nb (0.554, 0.446, 0.004)
Nb (0.750, 0.250, 0.000)
Nb (0.946, 0.054, 0.000)
Tc (0.350, 0.650, 0.002)
Tc (0.650, 0.350, 0.502)
W (0.150, 0.850, 0.999)
W (0.850, 0.150, 0.499)